No. 1
This entry pairs a crystal structure of Al2HgO4 with its computed powder diffractogram. Radiation: Cu Kα X-rays. Structure: a GGA-PBE-relaxed structure.
Lines closer than 0.1° are merged.

Structure:
Unit cell a=4.8801 b=4.8801 c=8.1031 alpha=90.00 beta=90.00 gamma=90.00
Space group I-4 (No. 82)
Inequivalent atoms, fractional coordinates:
1 Al 0.0000 0.0000 0.0000 [2 per cell]
2 Al 0.0000 0.5000 0.2500 [2 per cell]
3 Hg 0.0000 0.0000 0.5000 [2 per cell]
4 O 0.1587 0.7485 0.1247 [8 per cell]

Most intense lines, 10 to 80 degrees two-theta, sorted by position:
| Position (°2θ) | I/Imax | (hkl) |
| --- | --- | --- |
| 21.25 | 100 | 1 0 1 |
| 21.94 | 35 | 0 0 2 |
| 25.82 | 47 | 1 1 0 |
| 34.13 | 80 | 1 1 2 |
| 36.84 | 21 | 2 0 0 |
| 38.08 | 30 | 1 0 3 |
| 42.92 | 45 | 1 2 1 |
| 43.29 | 25 | 2 0 2 |
| 52.37 | 14 | 1 1 4 |
| 54.02 | 19 | 2 1 3 |
| 59.29 | 21 | 2 0 4 |
| 64.63 | 24 | 3 1 2 |

No. 2
This entry pairs a crystal structure of AlHgSeO with its computed powder diffractogram. Radiation: Cu Kα X-rays. Structure: a GGA-PBE-relaxed structure.
Lines closer than 0.1° are merged.

Structure:
Unit cell a=5.2315 b=4.8638 c=12.6855 alpha=90.00 beta=96.20 gamma=90.00
Space group P2_1 (No. 4)
Inequivalent atoms, fractional coordinates:
1 Al 0.0472 0.0000 0.4391 [2 per cell]
2 Al 0.4264 0.4971 0.4181 [2 per cell]
3 Hg 0.0190 0.9593 0.8372 [2 per cell]
4 Hg 0.3332 0.7370 0.0110 [2 per cell]
5 Se 0.2679 0.6953 0.6906 [2 per cell]
6 Se 0.3528 0.7838 0.2461 [2 per cell]
7 O 0.1171 0.6411 0.4523 [2 per cell]
8 O 0.3516 0.1666 0.4808 [2 per cell]

Most intense lines, 10 to 80 degrees two-theta, sorted by position:
| Position (°2θ) | I/Imax | (hkl) |
| --- | --- | --- |
| 23.09 | 43 | 0 1 2 |
| 25.07 | 100 | 1 1 0 |
| 25.54 | 82 | 1 1 -1 |
| 25.77 | 34 | 1 0 -3 |
| 27.90 | 37 | 1 1 -2 |
| 28.71 | 44 | 1 0 3 |
| 29.76 | 32 | 1 1 2 |
| 39.27 | 43 | 2 1 -1 |
| 40.97 | 33 | 1 2 0 |
| 42.98 | 62 | 0 2 3 |
| 47.19 | 34 | 0 2 4 |
| 51.44 | 34 | 2 2 0 |

No. 3
This entry pairs a crystal structure of Al2HgTe3S with its computed powder diffractogram. Radiation: Cu Kα X-rays. Structure: a GGA-PBE-relaxed structure.
Lines closer than 0.1° are merged.

Structure:
Unit cell a=6.1261 b=6.1923 c=7.1459 alpha=115.59 beta=112.91 gamma=91.85
Space group P1 (No. 1)
Inequivalent atoms, fractional coordinates:
1 Al 0.0000 0.0000 0.0000 [1 per cell]
2 Al 0.2254 0.7685 0.5369 [1 per cell]
3 Hg 0.7283 0.2697 0.5089 [1 per cell]
4 Te 0.3470 0.4164 0.2436 [1 per cell]
5 Te 0.6120 0.1507 0.8093 [1 per cell]
6 Te 0.8589 0.8516 0.2413 [1 per cell]
7 S 0.1142 0.6844 0.7720 [1 per cell]

Most intense lines, 10 to 80 degrees two-theta, sorted by position:
| Position (°2θ) | I/Imax | (hkl) |
| --- | --- | --- |
| 16.18 | 36 | 1 0 0 |
| 16.35 | 26 | 0 1 0 |
| 20.74 | 32 | 1 1 -1 |
| 24.97 | 53 | 1 -1 1 |
| 25.78 | 100 | 1 1 0 |
| 26.06 | 49 | 1 1 -2 |
| 32.68 | 20 | 0 2 -2 |
| 40.80 | 28 | 2 -2 0 |
| 42.19 | 24 | 2 2 -2 |
| 42.42 | 25 | 2 0 1 |
| 42.56 | 21 | 0 2 -3 |
| 43.21 | 22 | 0 2 1 |

No. 4
This entry pairs a crystal structure of Sc2Al3Hg3 with its computed powder diffractogram. Radiation: Cu Kα X-rays. Structure: a GGA-PBE-relaxed structure.
Lines closer than 0.1° are merged.

Structure:
Unit cell a=6.0514 b=4.8315 c=6.1304 alpha=90.00 beta=118.41 gamma=90.00
Space group Pm (No. 6)
Inequivalent atoms, fractional coordinates:
1 Sc 0.0000 0.0000 0.0000 [1 per cell]
2 Sc 0.3279 0.5000 0.6966 [1 per cell]
3 Al 0.3610 0.5000 0.2060 [1 per cell]
4 Al 0.8234 0.5000 0.6628 [1 per cell]
5 Al 0.9762 0.0000 0.5084 [1 per cell]
6 Hg 0.4843 0.0000 0.5233 [1 per cell]
7 Hg 0.4990 0.0000 0.0271 [1 per cell]
8 Hg 0.8638 0.5000 0.1878 [1 per cell]

Most intense lines, 10 to 80 degrees two-theta, sorted by position:
| Position (°2θ) | I/Imax | (hkl) |
| --- | --- | --- |
| 16.66 | 36 | 1 0 0 |
| 16.95 | 21 | 1 0 -1 |
| 24.89 | 100 | 1 1 0 |
| 29.15 | 38 | 1 0 -2 |
| 33.23 | 21 | 0 0 2 |
| 33.68 | 31 | 2 0 0 |
| 37.22 | 53 | 0 2 0 |
| 38.23 | 74 | 0 1 2 |
| 38.62 | 56 | 2 1 0 |
| 39.16 | 81 | 2 1 -2 |
| 47.96 | 21 | 1 2 -2 |
| 73.90 | 24 | 4 1 0 |

No. 5
This entry pairs a crystal structure of Al2HgTe2Se2 with its computed powder diffractogram. Radiation: Cu Kα X-rays. Structure: a GGA-PBE-relaxed structure.
Lines closer than 0.1° are merged.

Structure:
Unit cell a=8.4338 b=11.3417 c=6.0259 alpha=90.00 beta=133.25 gamma=90.00
Space group C2 (No. 5)
Inequivalent atoms, fractional coordinates:
1 Al 0.0000 0.0000 0.0000 [2 per cell]
2 Al 0.0000 0.2293 0.5000 [2 per cell]
3 Hg 0.0000 0.7428 0.5000 [2 per cell]
4 Te 0.2141 0.3789 0.9631 [4 per cell]
5 Se 0.2245 0.1011 0.4877 [4 per cell]

Most intense lines, 10 to 80 degrees two-theta, sorted by position:
| Position (°2θ) | I/Imax | (hkl) |
| --- | --- | --- |
| 16.41 | 16 | 1 1 0 |
| 16.67 | 32 | 1 1 -1 |
| 21.07 | 29 | 2 0 -1 |
| 25.67 | 100 | 0 2 1 |
| 26.34 | 91 | 2 2 -1 |
| 27.71 | 23 | 1 3 0 |
| 33.17 | 31 | 2 2 0 |
| 33.71 | 18 | 2 2 -2 |
| 41.14 | 31 | 0 0 2 |
| 42.90 | 22 | 4 0 -2 |
| 43.44 | 40 | 2 4 0 |
| 43.86 | 43 | 2 4 -2 |

No. 6
This entry pairs a crystal structure of Al2HgTeSe3 with its computed powder diffractogram. Radiation: Cu Kα X-rays. Structure: a GGA-PBE-relaxed structure.
Lines closer than 0.1° are merged.

Structure:
Unit cell a=5.9283 b=6.0071 c=6.8796 alpha=114.06 beta=114.34 gamma=91.33
Space group P1 (No. 1)
Inequivalent atoms, fractional coordinates:
1 Al 0.0000 0.0000 0.0000 [1 per cell]
2 Al 0.2603 0.7814 0.5191 [1 per cell]
3 Hg 0.7635 0.2635 0.5060 [1 per cell]
4 Te 0.3653 0.4082 0.2201 [1 per cell]
5 Se 0.1664 0.6744 0.7857 [1 per cell]
6 Se 0.6312 0.1294 0.7865 [1 per cell]
7 Se 0.8948 0.8598 0.2438 [1 per cell]

Most intense lines, 10 to 80 degrees two-theta, sorted by position:
| Position (°2θ) | I/Imax | (hkl) |
| --- | --- | --- |
| 17.02 | 26 | 1 0 -1 |
| 21.31 | 26 | 1 1 -1 |
| 26.19 | 49 | -1 1 1 |
| 26.40 | 100 | 1 1 0 |
| 27.02 | 41 | 1 1 -2 |
| 28.53 | 22 | 0 1 -2 |
| 34.41 | 23 | 2 0 -2 |
| 42.36 | 28 | 2 -2 0 |
| 43.41 | 23 | 2 2 -2 |
| 43.81 | 23 | 0 2 1 |
| 44.38 | 22 | 2 0 1 |
| 44.91 | 39 | 2 0 -3 |

No. 7
This entry pairs a crystal structure of Tb2Al3Hg3 with its computed powder diffractogram. Radiation: Cu Kα X-rays. Structure: a GGA-PBE-relaxed structure.
Lines closer than 0.1° are merged.

Structure:
Unit cell a=4.8284 b=6.4718 c=11.1611 alpha=90.00 beta=90.00 gamma=90.00
Space group Amm2 (No. 38)
Inequivalent atoms, fractional coordinates:
1 Tb 0.0000 0.0000 0.0000 [2 per cell]
2 Tb 0.5000 0.0000 0.3394 [2 per cell]
3 Al 0.0000 0.2224 0.7517 [4 per cell]
4 Al 0.5000 0.0000 0.8250 [2 per cell]
5 Hg 0.0000 0.0000 0.5085 [2 per cell]
6 Hg 0.5000 0.2488 0.0992 [4 per cell]

Most intense lines, 10 to 80 degrees two-theta, sorted by position:
| Position (°2θ) | I/Imax | (hkl) |
| --- | --- | --- |
| 15.87 | 37 | 0 0 2 |
| 24.37 | 18 | 1 0 2 |
| 31.97 | 21 | 0 2 2 |
| 33.35 | 20 | 1 2 0 |
| 37.16 | 100 | 1 0 4 |
| 37.24 | 22 | 2 0 0 |
| 42.80 | 10 | 0 2 4 |
| 49.90 | 16 | 2 2 2 |
| 57.11 | 12 | 0 2 6 |
| 67.10 | 20 | 3 0 4 |
| 69.99 | 18 | 2 4 0 |
| 70.19 | 17 | 2 2 6 |

No. 8
This entry pairs a crystal structure of TbAlHg2 with its computed powder diffractogram. Radiation: Cu Kα X-rays. Structure: a GGA-PBE-relaxed structure.
Lines closer than 0.1° are merged.

Structure:
Unit cell a=4.8489 b=11.3136 c=6.5517 alpha=90.00 beta=90.00 gamma=90.00
Space group Ama2 (No. 40)
Inequivalent atoms, fractional coordinates:
1 Tb 0.2500 0.1646 0.0000 [4 per cell]
2 Al 0.2500 0.4270 0.7624 [4 per cell]
3 Hg 0.2500 0.1622 0.4809 [4 per cell]
4 Hg 0.2500 0.4158 0.2426 [4 per cell]

Most intense lines, 10 to 80 degrees two-theta, sorted by position:
| Position (°2θ) | I/Imax | (hkl) |
| --- | --- | --- |
| 15.63 | 21 | 0 1 1 |
| 24.16 | 15 | 1 2 0 |
| 31.59 | 25 | 0 4 0 |
| 33.05 | 11 | 1 3 1 |
| 36.74 | 100 | 1 2 2 |
| 37.08 | 22 | 2 0 0 |
| 49.49 | 14 | 2 4 0 |
| 56.29 | 13 | 0 6 2 |
| 66.62 | 18 | 3 2 2 |
| 69.03 | 10 | 1 4 4 |
| 69.21 | 13 | 2 0 4 |
| 69.35 | 14 | 2 6 2 |